For Li2MnP2O7, a GGA+U-relaxed structure gives the calculated XRD peak list in this record (Cu Kα, 1.54184 Å).
Intensities are scaled so that the largest is 100.

Crystal structure
```
24
Lattice="5.2519 0.0000 0.0000 0.6130 6.3177 0.0000 0.4261 2.6213 8.3857" Properties=species:S:1:pos:R:3 pbc="T T T"
Li 1.1953 1.2496 2.8521
Li 2.1012 3.8563 8.0466
Li 4.1899 5.0826 0.3391
Li 5.0957 7.6894 5.5337
Mn 1.7892 4.1613 2.0289
Mn 4.5019 4.7776 6.3568
P 1.9536 6.9462 7.1464
P 1.9061 2.8682 5.2926
P 4.3850 6.0707 3.0931
P 4.3375 1.9927 1.2393
O 0.6209 2.1674 1.1501
O 1.0296 3.7071 6.2102
O 1.5715 2.9324 3.8049
O 2.1142 7.6306 5.6407
O 2.5228 7.8977 8.2068
O 2.7186 5.6413 7.0473
O 2.8900 5.9332 2.7712
O 3.4011 3.0057 5.6146
O 3.5725 3.2977 1.3385
O 3.7683 1.0412 0.1789
O 4.1769 1.3083 2.7450
O 4.7196 6.0065 4.5809
O 5.2614 5.2318 2.1755
O 5.6701 6.7715 7.2357
```

The 6 most intense peaks (2θ from 10° to 90°), low angle first:
| 2θ (°) | intensity |
| --- | --- |
| 21.19 | 50 |
| 21.80 | 73 |
| 24.03 | 100 |
| 29.35 | 61 |
| 34.32 | 41 |
| 39.33 | 38 |